Record 1
This entry pairs a crystal structure of Na4VHO5 with its simulated PXRD pattern. Radiation: Cu Kα (weighted mean of Kα1 and Kα2). Structure: a PBE+U-relaxed structure.
Neutral-atom scattering factors, no anomalous dispersion.

Principal peaks in the range 2θ = 10–90°, most intense first:
| two_theta | I_rel | index |
| --- | --- | --- |
| 33.40 | 100.0 | 1 2 2 |
| 32.58 | 40.9 | 2 2 1 |
| 39.48 | 37.7 | 4 0 0 |
| 45.18 | 36.6 | 4 0 2 |
| 18.55 | 36.5 | 1 1 1 |
| 22.76 | 32.0 | 2 1 0 |
| 48.25 | 30.1 | 0 4 0 |
| 26.15 | 29.8 | 1 1 2 |
| 43.88 | 26.6 | 3 2 2 |
| 22.15 | 25.7 | 2 0 1 |

Crystal structure
Cell lengths 9.135, 7.544, 8.408 Å; angles 90.00, 90.00, 90.00 degrees
Space group Pnma (No. 62)
One atom of each set of equivalent atoms:
Na1 0.000 0.000 0.000 [4 per cell]
Na2 0.127 0.250 0.259 [4 per cell]
Na3 0.129 0.513 0.654 [8 per cell]
V1 0.137 0.750 0.350 [4 per cell]
H1 0.166 0.750 0.947 [4 per cell]
O1 0.015 0.250 0.522 [4 per cell]
O2 0.118 0.750 0.844 [4 per cell]
O3 0.129 0.560 0.232 [8 per cell]
O4 0.206 0.250 0.967 [4 per cell]


Record 2
This entry pairs a crystal structure of Na3V3H6O7 with its simulated PXRD pattern. Radiation: Cu Kα (weighted mean of Kα1 and Kα2). Structure: a PBE+U-relaxed structure.
Neutral-atom scattering factors, no anomalous dispersion.

Principal peaks in the range 2θ = 10–90°, most intense first:
| two_theta | I_rel | index |
| --- | --- | --- |
| 10.41 | 100.0 | 0 1 0 |
| 11.17 | 49.4 | 1 -1 0 |
| 10.92 | 36.3 | 1 0 0 |
| 12.37 | 32.1 | 0 1 -1 |
| 19.98 | 15.4 | 0 1 2 |
| 29.83 | 13.1 | 3 -1 0 |
| 20.95 | 13.0 | 0 2 0 |
| 14.25 | 12.2 | 1 -1 1 |
| 30.13 | 8.4 | 3 -2 0 |
| 27.47 | 8.3 | 1 1 -3 |

Crystal structure
Cell lengths 9.200, 9.534, 11.367 Å; angles 91.60, 99.18, 116.24 degrees
Space group P1 (No. 1)
One atom of each set of equivalent atoms:
Na1 0.000 0.000 0.000 [1 per cell]
Na2 0.176 0.644 0.962 [1 per cell]
Na3 0.708 0.628 0.319 [1 per cell]
V1 0.499 0.513 0.933 [1 per cell]
V2 0.833 0.683 0.823 [1 per cell]
V3 0.834 0.577 0.067 [1 per cell]
H1 0.468 0.746 0.377 [1 per cell]
H2 0.514 0.765 0.080 [1 per cell]
H3 0.557 0.801 0.264 [1 per cell]
H4 0.695 0.902 0.140 [1 per cell]
H5 0.916 0.852 0.197 [1 per cell]
H6 0.956 0.029 0.257 [1 per cell]
O1 0.390 0.600 0.992 [1 per cell]
O2 0.561 0.752 0.344 [1 per cell]
O3 0.576 0.863 0.139 [1 per cell]
O4 0.702 0.507 0.907 [1 per cell]
O5 0.896 0.697 0.206 [1 per cell]
O6 0.922 0.966 0.180 [1 per cell]
O7 0.925 0.884 0.818 [1 per cell]


Record 3
This entry pairs a crystal structure of Na3VH28O22 with its simulated PXRD pattern. Radiation: Cu Kα (weighted mean of Kα1 and Kα2). Structure: a PBE+U-relaxed structure.
Neutral-atom scattering factors, no anomalous dispersion.

Principal peaks in the range 2θ = 10–90°, most intense first:
| two_theta | I_rel | index |
| --- | --- | --- |
| 16.42 | 100.0 | 1 0 -1 |
| 30.33 | 52.6 | 1 2 3 |
| 14.24 | 44.1 | 1 1 1 |
| 20.64 | 34.4 | 1 2 1 |
| 12.12 | 31.0 | 0 1 1 |
| 33.23 | 30.6 | 2 0 -2 |
| 21.61 | 29.9 | 0 2 1 |
| 43.02 | 26.9 | 2 3 -1 |
| 31.18 | 21.8 | -2 1 1 |
| 19.64 | 21.5 | 0 1 2 |

Crystal structure
Cell lengths 7.688, 8.828, 9.259 Å; angles 62.60, 80.15, 68.72 degrees
Space group P1 (No. 1)
One atom of each set of equivalent atoms:
Na1 0.000 0.000 0.000 [1 per cell]
Na2 0.141 0.275 0.124 [1 per cell]
Na3 0.284 0.555 0.244 [1 per cell]
V1 0.645 0.773 0.624 [1 per cell]
H1 0.007 0.392 0.800 [1 per cell]
H2 0.078 0.305 0.423 [1 per cell]
H3 0.119 0.904 0.317 [1 per cell]
H4 0.130 0.641 0.541 [1 per cell]
H5 0.151 0.923 0.701 [1 per cell]
H6 0.164 0.646 0.928 [1 per cell]
H7 0.209 0.256 0.821 [1 per cell]
H8 0.277 0.161 0.446 [1 per cell]
H9 0.340 0.641 0.532 [1 per cell]
H10 0.372 0.543 0.912 [1 per cell]
H11 0.381 0.904 0.084 [1 per cell]
H12 0.394 0.842 0.946 [1 per cell]
H13 0.401 0.347 0.616 [1 per cell]
H14 0.455 0.132 0.700 [1 per cell]
H15 0.501 0.976 0.250 [1 per cell]
H16 0.522 0.106 0.069 [1 per cell]
H17 0.608 0.210 0.837 [1 per cell]
H18 0.611 0.227 0.352 [1 per cell]
H19 0.672 0.322 0.892 [1 per cell]
H20 0.680 0.339 0.405 [1 per cell]
H21 0.748 0.461 0.155 [1 per cell]
H22 0.784 0.410 0.571 [1 per cell]
H23 0.821 0.577 0.978 [1 per cell]
H24 0.863 0.755 0.272 [1 per cell]
H25 0.892 0.201 0.622 [1 per cell]
H26 0.899 0.649 0.165 [1 per cell]
H27 0.912 0.012 0.326 [1 per cell]
H28 0.964 0.872 0.739 [1 per cell]
O1 0.024 0.021 0.257 [1 per cell]
O2 0.029 0.940 0.757 [1 per cell]
O3 0.084 0.270 0.874 [1 per cell]
O4 0.202 0.283 0.371 [1 per cell]
O5 0.244 0.641 0.472 [1 per cell]
O6 0.262 0.532 0.985 [1 per cell]
O7 0.337 0.830 0.053 [1 per cell]
O8 0.379 0.926 0.605 [1 per cell]
O9 0.430 0.240 0.721 [1 per cell]
O10 0.433 0.047 0.145 [1 per cell]
O11 0.482 0.924 0.725 [1 per cell]
O12 0.576 0.582 0.623 [1 per cell]
O13 0.577 0.565 0.788 [1 per cell]
O14 0.599 0.353 0.324 [1 per cell]
O15 0.675 0.858 0.391 [1 per cell]
O16 0.685 0.195 0.922 [1 per cell]
O17 0.709 0.976 0.445 [1 per cell]
O18 0.846 0.721 0.761 [1 per cell]
O19 0.849 0.511 0.097 [1 per cell]
O20 0.850 0.321 0.527 [1 per cell]
O21 0.909 0.628 0.656 [1 per cell]
O22 0.951 0.720 0.194 [1 per cell]